No. 1
Starting from a PBE-relaxed structure, the X-ray powder pattern of Hg was calculated for Cu Kα, 1.54184 Å.
Intensities are scaled so that the largest is 100.

Principal peaks in the range 10 to 80 degrees two-theta, most intense first:
| d/Å | Position (°2θ) | intensity |
| --- | --- | --- |
| 2.637 | 34.0 | 100.0 |
| 2.885 | 31.0 | 42.3 |
| 2.816 | 31.8 | 35.3 |
| 1.470 | 63.3 | 30.4 |
| 1.723 | 53.1 | 25.5 |
| 2.336 | 38.5 | 23.9 |
| 1.589 | 58.0 | 22.1 |
| 1.443 | 64.6 | 16.1 |
| 1.798 | 50.8 | 10.9 |
| 2.985 | 29.9 | 7.7 |

Structural model:
```
Hg
1.0
3.447 0.000 0.000
-1.723 2.985 0.000
0.000 0.000 11.263
Hg
4
Direct
0.000 0.000 0.000
0.000 0.000 0.500
0.333 0.667 0.250
0.667 0.333 0.750
```

=====

No. 2
Starting from a PBE-relaxed structure, the X-ray powder pattern of BaTl2O4 was calculated for Cu Kα, 1.54184 Å.
Intensities are scaled so that the largest is 100.

Principal peaks in the range 10 to 80 degrees two-theta, most intense first:
| d/Å | Position (°2θ) | intensity |
| --- | --- | --- |
| 2.935 | 30.5 | 100.0 |
| 3.037 | 29.4 | 79.1 |
| 3.050 | 29.3 | 34.9 |
| 1.528 | 60.6 | 30.8 |
| 1.733 | 52.8 | 29.5 |
| 2.114 | 42.8 | 25.2 |
| 2.108 | 42.9 | 17.5 |
| 1.768 | 51.7 | 12.3 |
| 5.261 | 16.9 | 12.2 |
| 1.738 | 52.7 | 11.6 |

Structural model:
```
BaTl2O4
1.0
10.505 0.000 0.000
0.000 3.536 0.000
0.000 0.000 12.198
Ba Tl O
4 8 16
Direct
0.245 0.250 0.151
0.255 0.750 0.651
0.745 0.250 0.349
0.755 0.750 0.849
0.074 0.250 0.391
0.079 0.250 0.893
0.421 0.750 0.393
0.426 0.750 0.891
0.574 0.250 0.109
0.579 0.250 0.607
0.921 0.750 0.107
0.926 0.750 0.609
0.022 0.750 0.781
0.078 0.250 0.574
0.119 0.750 0.019
0.208 0.750 0.335
0.292 0.250 0.835
0.381 0.250 0.519
0.422 0.750 0.074
0.478 0.250 0.281
0.522 0.750 0.719
0.578 0.250 0.926
0.619 0.750 0.481
0.708 0.750 0.165
0.792 0.250 0.665
0.881 0.250 0.981
0.922 0.750 0.426
0.978 0.250 0.219
```

=====

No. 3
Starting from a PBE-relaxed structure, the X-ray powder pattern of La2PmSmY6 was calculated for Cu Kα, 1.54184 Å.
Intensities are scaled so that the largest is 100.

Principal peaks in the range 10 to 80 degrees two-theta, most intense first:
| d/Å | Position (°2θ) | intensity |
| --- | --- | --- |
| 2.806 | 31.9 | 100.0 |
| 2.765 | 32.4 | 90.7 |
| 2.843 | 31.5 | 74.6 |
| 2.970 | 30.1 | 67.6 |
| 3.016 | 29.6 | 62.2 |
| 3.121 | 28.6 | 57.5 |
| 2.860 | 31.3 | 52.7 |
| 3.326 | 26.8 | 29.8 |
| 2.780 | 32.2 | 27.9 |
| 1.801 | 50.7 | 27.9 |

Structural model:
```
La2PmSmY6
1.0
4.569 -7.495 0.000
4.569 7.495 0.000
-2.041 0.000 9.883
La Pm Sm Y
4 2 2 12
Direct
0.189 0.280 0.044
0.280 0.189 0.544
0.720 0.811 0.456
0.811 0.720 0.956
0.403 0.597 0.750
0.597 0.403 0.250
0.012 0.988 0.250
0.988 0.012 0.750
0.023 0.581 0.186
0.117 0.734 0.556
0.266 0.883 0.944
0.302 0.510 0.382
0.419 0.977 0.314
0.490 0.698 0.118
0.510 0.302 0.882
0.581 0.023 0.686
0.698 0.490 0.618
0.734 0.117 0.056
0.883 0.266 0.444
0.977 0.419 0.814
```

=====

No. 4
Starting from a PBE-relaxed structure, the X-ray powder pattern of CaAl2Sb3 was calculated for Cu Kα, 1.54184 Å.
Intensities are scaled so that the largest is 100.

Principal peaks in the range 10 to 80 degrees two-theta, most intense first:
| d/Å | Position (°2θ) | intensity |
| --- | --- | --- |
| 3.265 | 27.3 | 100.0 |
| 3.369 | 26.5 | 74.9 |
| 3.851 | 23.1 | 63.4 |
| 3.174 | 28.1 | 45.6 |
| 2.505 | 35.8 | 41.1 |
| 3.650 | 24.4 | 37.2 |
| 2.100 | 43.1 | 35.7 |
| 2.717 | 33.0 | 33.1 |
| 2.134 | 42.4 | 32.7 |
| 2.066 | 43.8 | 23.5 |

Structural model:
```
CaAl2Sb3
1.0
11.589 -2.134 0.000
11.589 2.134 0.000
-0.567 0.000 7.217
Ca Al Sb
2 4 6
Direct
0.153 0.153 0.007
0.847 0.847 0.993
0.195 0.195 0.436
0.453 0.453 0.813
0.547 0.547 0.187
0.805 0.805 0.564
0.078 0.078 0.410
0.263 0.263 0.757
0.431 0.431 0.188
0.569 0.569 0.812
0.737 0.737 0.243
0.922 0.922 0.590
```

=====

No. 5
Starting from a PBE-relaxed structure, the X-ray powder pattern of Mn3ZnPt4 was calculated for Cu Kα, 1.54184 Å.
Intensities are scaled so that the largest is 100.

Principal peaks in the range 10 to 80 degrees two-theta, most intense first:
| d/Å | Position (°2θ) | intensity |
| --- | --- | --- |
| 2.246 | 40.1 | 100.0 |
| 2.911 | 30.7 | 27.7 |
| 3.531 | 25.2 | 22.5 |
| 2.062 | 43.9 | 19.4 |
| 2.054 | 44.1 | 19.2 |
| 1.223 | 78.1 | 14.1 |
| 1.220 | 78.4 | 13.9 |
| 1.456 | 64.0 | 12.5 |
| 1.766 | 51.8 | 11.9 |
| 1.341 | 70.2 | 9.5 |

Structural model:
```
Mn3ZnPt4
1.0
3.531 0.000 0.000
0.000 4.125 0.000
0.000 0.000 8.218
Mn Zn Pt
3 1 4
Direct
0.000 0.000 0.000
0.000 0.500 0.253
0.000 0.500 0.747
0.000 0.000 0.500
0.500 0.000 0.250
0.500 0.000 0.750
0.500 0.500 0.000
0.500 0.500 0.500
```

=====

No. 6
Starting from a PBE-relaxed structure, the X-ray powder pattern of CuNi5 was calculated for Cu Kα, 1.54184 Å.
Intensities are scaled so that the largest is 100.

Principal peaks in the range 10 to 80 degrees two-theta, most intense first:
| d/Å | Position (°2θ) | intensity |
| --- | --- | --- |
| 1.917 | 47.4 | 100.0 |
| 1.908 | 47.7 | 97.1 |
| 1.907 | 47.7 | 97.0 |
| 2.052 | 44.1 | 82.4 |
| 2.155 | 41.9 | 48.9 |
| 1.249 | 76.2 | 28.7 |
| 1.486 | 62.5 | 27.4 |
| 2.168 | 41.7 | 23.8 |
| 1.241 | 76.8 | 14.1 |
| 1.490 | 62.3 | 13.2 |

Structural model:
```
CuNi5
1.0
4.640 -1.241 0.000
4.640 1.241 0.000
-1.604 0.000 5.752
Cu Ni
1 5
Direct
0.000 0.000 0.000
0.056 0.056 0.610
0.331 0.331 0.664
0.387 0.387 0.281
0.667 0.667 0.336
0.724 0.724 0.945
```

=====

No. 7
Starting from a PBE-relaxed structure, the X-ray powder pattern of Ac2Nd5Y4 was calculated for Cu Kα, 1.54184 Å.
Intensities are scaled so that the largest is 100.

Principal peaks in the range 10 to 80 degrees two-theta, most intense first:
| d/Å | Position (°2θ) | intensity |
| --- | --- | --- |
| 3.021 | 29.6 | 100.0 |
| 2.618 | 34.2 | 68.0 |
| 3.032 | 29.5 | 52.5 |
| 3.007 | 29.7 | 51.0 |
| 2.611 | 34.4 | 33.4 |
| 1.575 | 58.6 | 28.4 |
| 1.851 | 49.2 | 24.1 |
| 1.844 | 49.4 | 23.9 |
| 1.582 | 58.3 | 21.9 |
| 1.577 | 58.5 | 14.7 |

Structural model:
```
Ac2Nd5Y4
1.0
6.399 0.000 0.000
1.052 6.350 0.000
1.036 -0.166 9.691
Ac Nd Y
2 5 4
Direct
0.145 0.227 0.452
0.855 0.773 0.548
0.229 0.046 0.087
0.412 0.681 0.357
0.500 0.500 0.000
0.588 0.319 0.643
0.771 0.954 0.913
0.045 0.405 0.824
0.313 0.860 0.734
0.687 0.140 0.266
0.955 0.595 0.176
```

=====

No. 8
Starting from a PBE-relaxed structure, the X-ray powder pattern of Sr3Zn4Ni4 was calculated for Cu Kα, 1.54184 Å.
Intensities are scaled so that the largest is 100.

Principal peaks in the range 10 to 80 degrees two-theta, most intense first:
| d/Å | Position (°2θ) | intensity |
| --- | --- | --- |
| 2.692 | 33.3 | 100.0 |
| 2.408 | 37.3 | 50.5 |
| 2.035 | 44.5 | 48.0 |
| 1.795 | 50.9 | 39.0 |
| 1.554 | 59.5 | 22.0 |
| 5.384 | 16.5 | 20.9 |
| 1.346 | 69.9 | 14.9 |
| 3.108 | 28.7 | 13.9 |
| 1.235 | 77.2 | 13.7 |
| 1.623 | 56.7 | 13.1 |

Structural model:
```
Sr3Zn4Ni4
1.0
-3.807 3.807 3.807
3.807 -3.807 3.807
3.807 3.807 -3.807
Sr Zn Ni
3 4 4
Direct
0.000 0.500 0.500
0.500 0.000 0.500
0.500 0.500 0.000
0.000 0.000 0.400
0.000 0.400 0.000
0.400 0.000 0.000
0.600 0.600 0.600
0.000 0.000 0.770
0.000 0.770 0.000
0.230 0.230 0.230
0.770 0.000 0.000
```